No. 1
Diffraction record for Zn2Cu3Ir. The X-ray diffraction stick pattern is simulated, not measured: it uses a cell relaxed with GGA-PBE and Cu Kα (λ = 1.5418 Å).
Lines closer than 0.1° are merged.

Atomic structure:
a = 7.6715 Å, b = 7.6715 Å, c = 7.6715 Å
α = 119.15°, β = 119.15°, γ = 91.48°
Positions (direct):
Zn 0.2802 0.3505 0.5703
Zn 0.2802 0.7099 0.9297
Zn 0.2901 0.7198 0.5703
Zn 0.3505 0.2802 0.0703
Zn 0.6495 0.7198 0.9297
Zn 0.7099 0.2802 0.4297
Zn 0.7198 0.2901 0.0703
Zn 0.7198 0.6495 0.4297
Cu 0.0000 0.5000 0.5000
Cu 0.0562 0.3062 0.1125
Cu 0.0562 0.9438 0.7500
Cu 0.3062 0.0562 0.6125
Cu 0.3062 0.6938 0.2500
Cu 0.5000 0.0000 0.0000
Cu 0.5000 0.5000 0.0000
Cu 0.5000 0.5000 0.5000
Cu 0.6938 0.3062 0.7500
Cu 0.6938 0.9438 0.3875
Cu 0.9438 0.0562 0.2500
Cu 0.9438 0.6938 0.8875
Ir 0.0697 0.3197 0.7500
Ir 0.3197 0.0697 0.2500
Ir 0.6803 0.9303 0.7500
Ir 0.9303 0.6803 0.2500

Principal peaks in the range 10° ≤ 2θ ≤ 90°, by intensity:
2θ/deg	intensity
40.39	100
42.80	86
43.85	68
43.16	66
36.07	47
23.20	43
22.89	36
47.42	34
46.77	31
75.60	25


No. 2
Diffraction record for La12TbEr5. The X-ray diffraction stick pattern is simulated, not measured: it uses a cell relaxed with GGA-PBE and Cu Kα (λ = 1.5418 Å).
Lines closer than 0.1° are merged.

Atomic structure:
a = 10.9750 Å, b = 10.9750 Å, c = 6.3661 Å
α = 106.58°, β = 106.58°, γ = 59.47°
Positions (direct):
La 0.0043 0.6624 0.1664
La 0.1622 0.5042 0.6663
La 0.1701 0.8299 0.0000
La 0.3286 0.6714 0.5000
La 0.3376 0.9957 0.8336
La 0.4958 0.8378 0.3337
La 0.5042 0.1622 0.6663
La 0.6624 0.0043 0.1664
La 0.6714 0.3286 0.5000
La 0.8299 0.1701 0.0000
La 0.8378 0.4958 0.3337
La 0.9957 0.3376 0.8336
Tb 0.5000 0.5000 0.0000
Er 0.0000 0.0000 0.5000
Er 0.1667 0.1667 0.3337
Er 0.3330 0.3330 0.1671
Er 0.6670 0.6670 0.8329
Er 0.8333 0.8333 0.6663

Principal peaks in the range 10° ≤ 2θ ≤ 90°, by intensity:
2θ/deg	intensity
29.80	100
30.01	98
34.79	66
49.75	60
34.42	34
59.20	28
59.56	28
58.83	15
58.94	14
62.36	12